1.
Structure and computed PXRD pattern of Mg6ZrSb (the PBE geometry in the Materials Project; Cu Kα, 1.54184 Å).
No peak broadening, texture or thermal motion is included.

Main lines, most intense first (15° ≤ 2θ ≤ 90°):
2theta  I/Imax  index
37.69  100  1 2 2
36.16  59  1 0 4
15.76  53  0 0 2
16.71  48  1 0 0
23.05  46  1 0 2
33.78  43  2 0 0
33.54  36  0 2 2
48.34  25  2 2 2
63.02  21  3 2 2
68.66  20  2 2 6
31.83  19  0 0 4
57.81  18  0 2 6

Cell and atoms:
```
data_Mg6ZrSb
_cell_length_a 5.3064
_cell_length_b 6.0739
_cell_length_c 11.2448
_cell_angle_alpha 90.00
_cell_angle_beta 90.00
_cell_angle_gamma 90.00
_symmetry_space_group_name_H-M 'A m m 2'
_symmetry_Int_Tables_number 38
loop_
_symmetry_equiv_pos_as_xyz
'x,y,z'
'-x,-y,z'
'-x,y,z'
'x,-y,z'
'x,y+1/2,z+1/2'
'-x,-y+1/2,z+1/2'
'-x,y+1/2,z+1/2'
'x,-y+1/2,z+1/2'
loop_
_atom_site_label
_atom_site_fract_x
_atom_site_fract_y
_atom_site_fract_z
_atom_site_occupancy
Mg1 0.0000 0.0000 0.0000 1
Mg2 0.0000 0.0000 0.4960 1
Mg3 0.0000 0.2440 0.2450 1
Mg4 0.5000 0.2479 0.5824 1
Zr1 0.5000 0.0000 0.3349 1
Sb1 0.5000 0.0000 0.8320 1
```



2.
Structure and computed PXRD pattern of La2Ru2I (the PBE geometry in the Materials Project; Cu Kα, 1.54184 Å).
No peak broadening, texture or thermal motion is included.

Main lines, most intense first (15° ≤ 2θ ≤ 90°):
2theta  I/Imax  index
31.12  100  1 0 4
41.52  50  1 1 0
52.79  22  2 0 4
59.47  22  1 1 8
69.30  19  2 1 4
38.67  16  1 0 6
28.07  13  1 0 3
24.15  12  1 0 1
40.61  11  0 0 8
75.74  8  3 0 0
89.69  7  3 0 8
23.62  7  1 0 0

Cell and atoms:
```
data_La2Ru2I
_cell_length_a 4.3501
_cell_length_b 4.3501
_cell_length_c 17.7742
_cell_angle_alpha 90.00
_cell_angle_beta 90.00
_cell_angle_gamma 120.00
_symmetry_space_group_name_H-M 'P 63/m m c'
_symmetry_Int_Tables_number 194
_symmetry_space_group_name_Hall '-P 6c 2c'
loop_
_atom_site_label
_atom_site_fract_x
_atom_site_fract_y
_atom_site_fract_z
_atom_site_occupancy
La1 0.0000 0.0000 0.1060 1
Ru1 0.3333 0.6667 0.0053 1
I1 0.3333 0.6667 0.7500 1
```



3.
Structure and computed PXRD pattern of CaSbF5 (the PBE geometry in the Materials Project; Cu Kα, 1.54184 Å).
No peak broadening, texture or thermal motion is included.

Main lines, most intense first (15° ≤ 2θ ≤ 90°):
2theta  I/Imax  index
20.82  100  1 1 0
24.32  59  0 1 2
24.43  58  1 0 2
42.35  46  2 2 0
25.31  45  1 -1 0
16.27  29  0 1 0
16.39  28  1 0 0
49.80  20  0 2 4
31.84  20  0 1 -2
22.99  19  0 0 2
23.57  18  1 1 2
32.83  16  2 1 2

Cell and atoms:
```
data_CaSbF5
_cell_length_a 5.8566
_cell_length_b 5.9082
_cell_length_c 8.5487
_cell_angle_alpha 69.97
_cell_angle_beta 70.15
_cell_angle_gamma 73.48
_symmetry_space_group_name_H-M 'P 1'
_symmetry_Int_Tables_number 1
loop_
_symmetry_equiv_pos_as_xyz
'x,y,z'
loop_
_atom_site_label
_atom_site_fract_x
_atom_site_fract_y
_atom_site_fract_z
_atom_site_occupancy
Ca1 0.0000 0.0000 0.0000 1
Ca2 0.0087 0.9911 0.5028 1
Sb1 0.4590 0.5405 0.7312 1
Sb2 0.5529 0.4548 0.2275 1
F1 0.1361 0.8818 0.7498 1
F2 0.2071 0.2995 0.8232 1
F3 0.2696 0.6903 0.1284 1
F4 0.3056 0.2087 0.3325 1
F5 0.3421 0.6456 0.5142 1
F6 0.6538 0.3288 0.0155 1
F7 0.7041 0.2675 0.6270 1
F8 0.7403 0.7449 0.5704 1
F9 0.7456 0.7436 0.0622 1
F10 0.8938 0.1263 0.2495 1
```